[1]
# CuBF4
Computed X-ray diffraction stick pattern, Cu Kα (λ = 1.5418 Å). Input: a GGA-PBE-relaxed structure.

Crystal structure
```
data_CuBF4
_cell_length_a 4.882
_cell_length_b 9.345
_cell_length_c 7.499
_cell_angle_alpha 90.00
_cell_angle_beta 114.87
_cell_angle_gamma 90.00
_symmetry_space_group_name_H-M 'P 1 21/c 1'
_symmetry_Int_Tables_number 14
loop_
_symmetry_equiv_pos_as_xyz
'x,y,z'
'-x,-y,-z'
'-x,y+1/2,-z+1/2'
'x,-y+1/2,z+1/2'
loop_
_atom_site_label
_atom_site_type_symbol
_atom_site_fract_x
_atom_site_fract_y
_atom_site_fract_z
Cu1 Cu 0.027 0.030 0.177
B1 B 0.309 0.174 0.652
F1 F 0.054 0.148 0.479
F2 F 0.286 0.099 0.815
F3 F 0.328 0.175 0.198
F4 F 0.423 0.635 0.858
```

Principal peaks in the range 10 to 90 degrees two-theta, in order of falling intensity:
2theta	I_rel
27.75	100
20.05	66
37.42	63
18.99	57
40.95	56
22.21	54
26.20	48
31.94	45
31.59	43
21.04	38



[2]
# KCuBF6
Computed X-ray diffraction stick pattern, Cu Kα (λ = 1.5418 Å). Input: a GGA-PBE-relaxed structure.

Crystal structure
```
data_KCuBF6
_cell_length_a 5.131
_cell_length_b 5.390
_cell_length_c 5.647
_cell_angle_alpha 87.06
_cell_angle_beta 83.56
_cell_angle_gamma 61.74
_symmetry_space_group_name_H-M 'P 1'
_symmetry_Int_Tables_number 1
loop_
_symmetry_equiv_pos_as_xyz
'x,y,z'
loop_
_atom_site_label
_atom_site_type_symbol
_atom_site_fract_x
_atom_site_fract_y
_atom_site_fract_z
K1 K 0.000 0.000 0.000
Cu1 Cu 0.296 0.409 0.499
B1 B 0.600 0.800 0.500
F1 F 0.099 0.411 0.787
F2 F 0.360 0.977 0.366
F3 F 0.488 0.413 0.211
F4 F 0.508 0.634 0.653
F5 F 0.665 0.975 0.636
F6 F 0.857 0.634 0.345
```

Principal peaks in the range 10 to 90 degrees two-theta, in order of falling intensity:
2theta	I_rel
24.12	100
15.79	79
26.62	70
33.32	57
24.56	54
19.76	52
37.92	44
41.75	31
41.88	31
45.27	29



[3]
# GaCuB3
Computed X-ray diffraction stick pattern, Cu Kα (λ = 1.5418 Å). Input: a GGA-PBE-relaxed structure.

Crystal structure
```
data_GaCuB3
_cell_length_a 3.947
_cell_length_b 3.947
_cell_length_c 3.947
_cell_angle_alpha 90.00
_cell_angle_beta 90.00
_cell_angle_gamma 90.00
_symmetry_space_group_name_H-M 'P m -3 m'
_symmetry_Int_Tables_number 221
_symmetry_space_group_name_Hall '-P 4 2 3'
loop_
_atom_site_label
_atom_site_type_symbol
_atom_site_fract_x
_atom_site_fract_y
_atom_site_fract_z
Ga1 Ga 0.000 0.000 0.000
Cu1 Cu 0.500 0.500 0.500
B1 B 0.000 0.500 0.500
```

Principal peaks in the range 10 to 90 degrees two-theta, in order of falling intensity:
2theta	I_rel
32.07	100
57.16	37
45.99	27
67.07	16
76.29	15
85.15	5
39.55	2
80.75	1



[4]
# CuGeB
Computed X-ray diffraction stick pattern, Cu Kα (λ = 1.5418 Å). Input: a GGA-PBE-relaxed structure.

Crystal structure
```
data_CuGeB
_cell_length_a 10.608
_cell_length_b 3.011
_cell_length_c 5.693
_cell_angle_alpha 90.00
_cell_angle_beta 117.76
_cell_angle_gamma 90.00
_symmetry_space_group_name_H-M 'C 1 m 1'
_symmetry_Int_Tables_number 8
loop_
_symmetry_equiv_pos_as_xyz
'x,y,z'
'x,-y,z'
'x+1/2,y+1/2,z'
'x+1/2,-y+1/2,z'
loop_
_atom_site_label
_atom_site_type_symbol
_atom_site_fract_x
_atom_site_fract_y
_atom_site_fract_z
Cu1 Cu 0.000 0.000 0.000
Cu2 Cu 0.109 0.000 0.500
Ge1 Ge 0.298 0.000 0.968
Ge2 Ge 0.451 0.000 0.598
B1 B 0.172 0.500 0.277
B2 B 0.232 0.000 0.285
```

Principal peaks in the range 10 to 90 degrees two-theta, in order of falling intensity:
2theta	I_rel
39.56	100
31.19	68
35.64	58
50.92	57
33.80	51
31.53	48
44.36	45
45.52	41
18.91	36
38.30	28



[5]
# KCuB2H8
Computed X-ray diffraction stick pattern, Cu Kα (λ = 1.5418 Å). Input: a GGA-PBE-relaxed structure.

Crystal structure
```
data_KCuB2H8
_cell_length_a 4.5338
_cell_length_b 4.5338
_cell_length_c 19.7305
_cell_angle_alpha 90.00
_cell_angle_beta 90.00
_cell_angle_gamma 120.00
_symmetry_space_group_name_H-M 'R -3'
_symmetry_Int_Tables_number 148
_symmetry_space_group_name_Hall '-R 3'
loop_
_atom_site_label
_atom_site_type_symbol
_atom_site_fract_x
_atom_site_fract_y
_atom_site_fract_z
K1 K 0.0000 0.0000 0.0000
Cu1 Cu 0.0000 0.0000 0.5000
B1 B 0.0000 0.0000 0.2424
H1 H 0.0000 0.0000 0.3044
H2 H 0.0399 0.5716 0.8882
```

Principal peaks in the range 10 to 90 degrees two-theta, in order of falling intensity:
2theta	I_rel
29.07	100
24.40	68
39.76	38
43.32	27
48.79	24
27.12	19
50.00	17
65.70	15
47.20	13
13.46	12



[6]
# Cu2BH5O6
Computed X-ray diffraction stick pattern, Cu Kα (λ = 1.5418 Å). Input: a GGA-PBE-relaxed structure.

Crystal structure
```
data_Cu2BH5O6
_cell_length_a 9.556
_cell_length_b 5.913
_cell_length_c 8.824
_cell_angle_alpha 90.00
_cell_angle_beta 90.00
_cell_angle_gamma 90.00
_symmetry_space_group_name_H-M 'P n m a'
_symmetry_Int_Tables_number 62
loop_
_symmetry_equiv_pos_as_xyz
'x,y,z'
'-x,-y,-z'
'-x+1/2,-y,z+1/2'
'x+1/2,y,-z+1/2'
'x+1/2,-y+1/2,-z+1/2'
'-x+1/2,y+1/2,z+1/2'
'-x,y+1/2,-z'
'x,-y+1/2,z'
loop_
_atom_site_label
_atom_site_type_symbol
_atom_site_fract_x
_atom_site_fract_y
_atom_site_fract_z
Cu1 Cu 0.243 0.001 0.083
B1 B 0.000 0.250 0.669
H1 H 0.007 0.077 0.329
H2 H 0.046 0.750 0.992
H3 H 0.155 0.250 0.886
H4 H 0.159 0.750 0.790
O1 O 0.075 0.550 0.328
O2 O 0.134 0.250 0.996
O3 O 0.144 0.250 0.669
O4 O 0.144 0.750 0.676
O5 O 0.150 0.750 0.977
```

Principal peaks in the range 10 to 90 degrees two-theta, in order of falling intensity:
2theta	I_rel
22.19	100
18.57	71
34.73	40
46.70	39
52.64	30
27.52	30
37.82	30
35.71	26
49.02	24
31.83	19



[7]
# Cu2HgBS4
Computed X-ray diffraction stick pattern, Cu Kα (λ = 1.5418 Å). Input: a GGA-PBE-relaxed structure.

Crystal structure
```
data_Cu2HgBS4
_cell_length_a 5.361
_cell_length_b 5.361
_cell_length_c 9.871
_cell_angle_alpha 90.00
_cell_angle_beta 90.00
_cell_angle_gamma 90.00
_symmetry_space_group_name_H-M 'I -4 2 m'
_symmetry_Int_Tables_number 121
_symmetry_space_group_name_Hall 'I -4 2'
loop_
_atom_site_label
_atom_site_type_symbol
_atom_site_fract_x
_atom_site_fract_y
_atom_site_fract_z
Cu1 Cu 0.000 0.500 0.250
Hg1 Hg 0.000 0.000 0.000
B1 B 0.000 0.000 0.500
S1 S 0.199 0.199 0.623
```

Principal peaks in the range 10 to 90 degrees two-theta, in order of falling intensity:
2theta	I_rel
29.72	100
18.84	53
38.65	36
50.25	34
31.91	29
57.48	28
48.00	18
33.43	16
46.89	14
61.44	12



[8]
# Cu2HgBSe4
Computed X-ray diffraction stick pattern, Cu Kα (λ = 1.5418 Å). Input: a GGA-PBE-relaxed structure.

Crystal structure
```
data_Cu2HgBSe4
_cell_length_a 5.664
_cell_length_b 5.664
_cell_length_c 10.455
_cell_angle_alpha 90.00
_cell_angle_beta 90.00
_cell_angle_gamma 90.00
_symmetry_space_group_name_H-M 'I -4 2 m'
_symmetry_Int_Tables_number 121
_symmetry_space_group_name_Hall 'I -4 2'
loop_
_atom_site_label
_atom_site_type_symbol
_atom_site_fract_x
_atom_site_fract_y
_atom_site_fract_z
Cu1 Cu 0.000 0.500 0.250
Hg1 Hg 0.000 0.000 0.000
B1 B 0.000 0.000 0.500
Se1 Se 0.204 0.204 0.625
```

Principal peaks in the range 10 to 90 degrees two-theta, in order of falling intensity:
2theta	I_rel
28.07	100
47.33	43
36.50	36
30.11	26
54.13	24
45.29	21
17.81	21
49.03	14
57.70	13
65.14	11



[9]
# Ho2CuB4O10
Computed X-ray diffraction stick pattern, Cu Kα (λ = 1.5418 Å). Input: a GGA-PBE-relaxed structure.

Crystal structure
```
data_Ho2CuB4O10
_cell_length_a 4.604
_cell_length_b 7.289
_cell_length_c 9.361
_cell_angle_alpha 90.00
_cell_angle_beta 90.47
_cell_angle_gamma 90.00
_symmetry_space_group_name_H-M 'P 1 21/c 1'
_symmetry_Int_Tables_number 14
loop_
_symmetry_equiv_pos_as_xyz
'x,y,z'
'-x,-y,-z'
'-x,y+1/2,-z+1/2'
'x,-y+1/2,z+1/2'
loop_
_atom_site_label
_atom_site_type_symbol
_atom_site_fract_x
_atom_site_fract_y
_atom_site_fract_z
Ho1 Ho 0.004 0.104 0.165
Cu1 Cu 0.000 0.000 0.500
B1 B 0.460 0.732 0.581
B2 B 0.472 0.098 0.662
O1 O 0.215 0.589 0.834
O2 O 0.229 0.612 0.542
O3 O 0.323 0.587 0.138
O4 O 0.343 0.166 0.800
O5 O 0.359 0.222 0.547
```

Principal peaks in the range 10 to 90 degrees two-theta, in order of falling intensity:
2theta	I_rel
19.28	100
32.77	93
37.05	48
36.79	44
26.24	44
31.18	43
22.58	35
29.75	29
51.06	27
31.30	23



[10]
# Ho2CuBPt6
Computed X-ray diffraction stick pattern, Cu Kα (λ = 1.5418 Å). Input: a GGA-PBE-relaxed structure.

Crystal structure
```
data_Ho2CuBPt6
_cell_length_a 5.5553
_cell_length_b 5.5553
_cell_length_c 19.8926
_cell_angle_alpha 90.00
_cell_angle_beta 90.00
_cell_angle_gamma 120.00
_symmetry_space_group_name_H-M 'R -3 m'
_symmetry_Int_Tables_number 166
_symmetry_space_group_name_Hall '-R 3 2"'
loop_
_atom_site_label
_atom_site_type_symbol
_atom_site_fract_x
_atom_site_fract_y
_atom_site_fract_z
Ho1 Ho 0.0000 0.0000 0.2065
Cu1 Cu 0.0000 0.0000 0.5000
B1 B 0.0000 0.0000 0.0000
Pt1 Pt 0.0067 0.5033 0.2661
```

Principal peaks in the range 10 to 90 degrees two-theta, in order of falling intensity:
2theta	I_rel
38.50	100
41.71	75
26.89	34
67.43	27
29.13	27
35.02	25
36.73	23
52.95	20
40.84	15
64.49	15



[11]
# CuB2Ir4
Computed X-ray diffraction stick pattern, Cu Kα (λ = 1.5418 Å). Input: a GGA-PBE-relaxed structure.

Crystal structure
```
data_CuB2Ir4
_cell_length_a 4.431
_cell_length_b 4.431
_cell_length_c 10.529
_cell_angle_alpha 90.00
_cell_angle_beta 90.00
_cell_angle_gamma 90.00
_symmetry_space_group_name_H-M 'I 4/m m m'
_symmetry_Int_Tables_number 139
_symmetry_space_group_name_Hall '-I 4 2'
loop_
_atom_site_label
_atom_site_type_symbol
_atom_site_fract_x
_atom_site_fract_y
_atom_site_fract_z
Cu1 Cu 0.000 0.000 0.000
B1 B 0.000 0.000 0.420
Ir1 Ir 0.000 0.000 0.237
Ir2 Ir 0.000 0.500 0.000
```

Principal peaks in the range 10 to 90 degrees two-theta, in order of falling intensity:
2theta	I_rel
33.28	100
40.73	45
54.11	36
34.06	33
69.41	25
60.47	18
69.87	17
58.96	15
89.51	13
85.90	10



[12]
# Tm2CuB2Ir5
Computed X-ray diffraction stick pattern, Cu Kα (λ = 1.5418 Å). Input: a GGA-PBE-relaxed structure.

Crystal structure
```
data_Tm2CuB2Ir5
_cell_length_a 9.522
_cell_length_b 9.522
_cell_length_c 3.124
_cell_angle_alpha 90.00
_cell_angle_beta 90.00
_cell_angle_gamma 90.00
_symmetry_space_group_name_H-M 'P 4/m b m'
_symmetry_Int_Tables_number 127
_symmetry_space_group_name_Hall '-P 4 2ab'
loop_
_atom_site_label
_atom_site_type_symbol
_atom_site_fract_x
_atom_site_fract_y
_atom_site_fract_z
Tm1 Tm 0.177 0.323 0.000
Cu1 Cu 0.000 0.000 0.000
B1 B 0.124 0.624 0.000
Ir1 Ir 0.000 0.500 0.500
Ir2 Ir 0.067 0.782 0.500
```

Principal peaks in the range 10 to 90 degrees two-theta, in order of falling intensity:
2theta	I_rel
39.00	100
41.66	95
35.65	84
44.95	43
42.46	37
39.35	36
73.15	32
28.57	26
40.18	26
70.08	25